Entry 1:
TiBiAs: simulated powder XRD pattern (Cu Kα), based on a crystal structure in Alexandria, relaxed with PBE.
No peak broadening, texture or thermal motion is included.

Structure:
```
TiBiAs
1.0
1.7510 -3.0331 0.0000
1.7510 3.0331 0.0000
0.0000 0.0000 14.4592
Ti Bi As
2 2 2
Direct
0.1682 0.8318 0.5000
0.8318 0.1682 0.0000
0.1651 0.8349 0.8334
0.8349 0.1651 0.3334
0.4986 0.5014 0.0985
0.5014 0.4986 0.5985
```

Principal peaks in the range 2θ from 10° to 80°, most intense first:
- d 2.567, 35.0 deg, I = 100
- d 2.968, 30.1 deg, I = 80
- d 2.797, 32.0 deg, I = 76
- d 3.615, 24.6 deg, I = 54
- d 7.230, 12.2 deg, I = 44
- d 1.751, 52.2 deg, I = 36
- d 1.887, 48.2 deg, I = 32
- d 1.576, 58.6 deg, I = 31

Entry 2:
Rb3SiH8: simulated powder XRD pattern (Cu Kα), based on a crystal structure in Alexandria, relaxed with PBE.
No peak broadening, texture or thermal motion is included.

Structure:
```
Rb3SiH8
1.0
7.8115 0.0000 0.0000
-3.9058 6.7650 0.0000
0.0000 0.0000 6.9056
Rb Si H
6 2 16
Direct
0.1661 0.3321 0.0000
0.1661 0.8339 0.0000
0.3321 0.1661 0.5000
0.6679 0.8339 0.0000
0.8339 0.1661 0.5000
0.8339 0.6679 0.5000
0.3333 0.6667 0.4383
0.6667 0.3333 0.9383
0.0000 0.0000 0.2502
0.0000 0.0000 0.7502
0.1357 0.5679 0.3045
0.2357 0.4715 0.5744
0.2357 0.7643 0.5744
0.3333 0.6667 0.7637
0.4321 0.5679 0.3045
0.4321 0.8643 0.3045
0.4715 0.2357 0.0744
0.5285 0.7643 0.5744
0.5679 0.1357 0.8045
0.5679 0.4321 0.8045
0.6667 0.3333 0.2637
0.7643 0.2357 0.0744
0.7643 0.5285 0.0744
0.8643 0.4321 0.8045
```

Principal peaks in the range 2θ from 10° to 80°, most intense first:
- d 3.038, 29.4 deg, I = 100
- d 3.453, 25.8 deg, I = 29
- d 1.903, 47.8 deg, I = 23
- d 3.382, 26.3 deg, I = 22
- d 1.700, 53.9 deg, I = 22
- d 1.953, 46.5 deg, I = 19
- d 2.416, 37.2 deg, I = 18
- d 1.643, 56.0 deg, I = 16

Entry 3:
RbMn2TlBr6: simulated powder XRD pattern (Cu Kα), based on a crystal structure in Alexandria, relaxed with PBE.
No peak broadening, texture or thermal motion is included.

Structure:
```
RbMn2TlBr6
1.0
7.5023 -6.8771 0.0000
7.5023 6.8771 0.0000
-1.9185 0.0000 7.5958
Rb Mn Tl Br
2 4 2 12
Direct
0.1802 0.8198 0.7500
0.8198 0.1802 0.2500
0.1223 0.3012 0.7564
0.3012 0.1223 0.2564
0.6988 0.8777 0.7436
0.8777 0.6988 0.2436
0.4020 0.5980 0.2500
0.5980 0.4020 0.7500
0.1027 0.6083 0.3502
0.1064 0.1750 0.0104
0.1750 0.1064 0.5104
0.2840 0.4775 0.8317
0.3917 0.8973 0.1498
0.4775 0.2840 0.3317
0.5225 0.7160 0.6683
0.6083 0.1027 0.8502
0.7160 0.5225 0.1683
0.8250 0.8936 0.4896
0.8936 0.8250 0.9896
0.8973 0.3917 0.6498
```

Principal peaks in the range 2θ from 10° to 80°, most intense first:
- d 4.540, 19.6 deg, I = 100
- d 3.259, 27.4 deg, I = 91
- d 2.428, 37.0 deg, I = 69
- d 3.885, 22.9 deg, I = 61
- d 2.208, 40.9 deg, I = 60
- d 4.573, 19.4 deg, I = 53
- d 3.222, 27.7 deg, I = 48
- d 3.072, 29.1 deg, I = 43

Entry 4:
ReIBr3: simulated powder XRD pattern (Cu Kα), based on a crystal structure in Alexandria, relaxed with PBE.
No peak broadening, texture or thermal motion is included.

Structure:
```
ReIBr3
1.0
10.4349 0.0000 0.0000
0.0000 6.3189 0.0000
-7.1597 0.0000 10.5954
Re I Br
4 4 12
Direct
0.1158 0.0150 0.1848
0.1158 0.4850 0.6848
0.8842 0.5150 0.3152
0.8842 0.9850 0.8152
0.3375 0.7132 0.8677
0.3375 0.7868 0.3677
0.6625 0.2132 0.6323
0.6625 0.2868 0.1323
0.1024 0.2486 0.8437
0.1024 0.2514 0.3437
0.1144 0.7086 0.5159
0.1144 0.7914 0.0159
0.2979 0.2368 0.6896
0.2979 0.2632 0.1896
0.7021 0.7368 0.8104
0.7021 0.7632 0.3104
0.8856 0.2086 0.9841
0.8856 0.2914 0.4841
0.8976 0.7486 0.6563
0.8976 0.7514 0.1563
```

Principal peaks in the range 2θ from 10° to 80°, most intense first:
- d 8.646, 10.2 deg, I = 100
- d 5.337, 16.6 deg, I = 96
- d 2.848, 31.4 deg, I = 52
- d 3.186, 28.0 deg, I = 48
- d 3.047, 29.3 deg, I = 40
- d 4.985, 17.8 deg, I = 38
- d 2.338, 38.5 deg, I = 37
- d 3.984, 22.3 deg, I = 35

Entry 5:
YPaSi2Rh5: simulated powder XRD pattern (Cu Kα), based on a crystal structure in Alexandria, relaxed with PBE.
No peak broadening, texture or thermal motion is included.

Structure:
```
YPaSi2Rh5
1.0
3.9945 0.0000 0.0000
0.0000 3.9945 0.0000
0.0000 0.0000 11.0013
Y Pa Si Rh
1 1 2 5
Direct
0.0000 0.0000 0.0000
0.5000 0.5000 0.5000
0.5000 0.5000 0.2085
0.5000 0.5000 0.7915
0.0000 0.5000 0.3254
0.0000 0.5000 0.6746
0.5000 0.0000 0.3254
0.5000 0.0000 0.6746
0.5000 0.5000 0.0000
```

Principal peaks in the range 2θ from 10° to 80°, most intense first:
- d 2.513, 35.7 deg, I = 100
- d 1.997, 45.4 deg, I = 54
- d 2.238, 40.3 deg, I = 45
- d 1.970, 46.1 deg, I = 44
- d 3.994, 22.3 deg, I = 39
- d 3.755, 23.7 deg, I = 28
- d 1.351, 69.6 deg, I = 25
- d 3.667, 24.3 deg, I = 23

Entry 6:
ErZn: simulated powder XRD pattern (Cu Kα), based on a crystal structure in Alexandria, relaxed with PBE.
No peak broadening, texture or thermal motion is included.

Structure:
```
ErZn
1.0
3.5395 0.0000 0.0000
0.0000 3.5395 0.0000
0.0000 0.0000 3.5395
Er Zn
1 1
Direct
0.0000 0.0000 0.0000
0.5000 0.5000 0.5000
```

Principal peaks in the range 2θ from 10° to 80°, most intense first:
- d 2.503, 35.9 deg, I = 100
- d 1.445, 64.5 deg, I = 36
- d 3.540, 25.2 deg, I = 19
- d 1.770, 51.6 deg, I = 18
- d 1.251, 76.1 deg, I = 11
- d 1.583, 58.3 deg, I = 8
- d 2.044, 44.3 deg, I = 6